BaTeW2O9: simulated powder diffractogram (Cu Kα X-rays), based on a cell relaxed with GGA+U.
Peak positions follow from Bragg's law for the DFT cell and can differ from measured ones.

Top 10 peaks for 10 to 90 degrees two-theta, low angle first:
2θ 15.2, I 187, hkl 0 1 1
2θ 19.7, I 382, hkl 0 0 2
2θ 22.0, I 315, hkl 1 1 -1
2θ 25.3, I 475, hkl 1 0 2
2θ 25.4, I 325, hkl 0 2 1
2θ 27.9, I 829, hkl 1 1 -2
2θ 30.1, I 1000, hkl 1 2 1
2θ 31.9, I 432, hkl 2 0 0
2θ 41.6, I 173, hkl 0 1 4
2θ 49.5, I 257, hkl 2 3 -1

Atomic structure:
```
BaTeW2O9
1.0
5.599 0.000 0.000
0.000 7.609 0.000
-0.004 0.000 9.063
Ba Te W O
2 2 4 18
direct
0.241 0.000 0.060 Ba
0.759 0.500 0.940 Ba
0.370 0.748 0.601 Te
0.630 0.248 0.399 Te
0.217 0.490 0.246 W
0.242 0.307 0.677 W
0.758 0.807 0.323 W
0.783 0.990 0.754 W
0.004 0.956 0.328 O
0.029 0.316 0.176 O
0.049 0.099 0.643 O
0.220 0.632 0.088 O
0.295 0.281 0.872 O
0.304 0.331 0.445 O
0.437 0.669 0.377 O
0.470 0.527 0.679 O
0.481 0.870 0.794 O
0.519 0.370 0.206 O
0.530 0.027 0.321 O
0.563 0.169 0.623 O
0.696 0.831 0.555 O
0.705 0.781 0.128 O
0.780 0.132 0.912 O
0.951 0.599 0.357 O
0.971 0.816 0.824 O
0.996 0.456 0.672 O
```